Simulated powder diffractogram
Compound: VCd2WO6
Radiation: Cu Ka
Structure: a structure optimized by DFT (PBE+U)

Most intense lines, 2θ = 10–90°, by intensity:
index  d_spacing  I_rel
1 1 -3  2.774  100.0
2 0 -6  1.602  22.0
2 0 -2  2.744  19.4
2 2 -2  1.951  18.5
3 1 -1  1.590  18.3
0 1 1  4.539  13.2

Crystal structure
Lattice parameters (Å, degrees): 5.4884 5.5513 9.6018 90.00 124.80 90.00
Fractional positions:
V1 0.0000 0.0000 0.0000
V2 0.0000 0.5000 0.5000
Cd1 0.2419 0.0398 0.7493
Cd2 0.2419 0.4602 0.2493
Cd3 0.7581 0.5399 0.7507
Cd4 0.7581 0.9602 0.2507
W1 0.5000 0.0000 0.5000
W2 0.5000 0.5000 0.0000
O1 0.1423 0.2030 0.4445
O2 0.1423 0.2970 0.9445
O3 0.2621 0.7098 0.4494
O4 0.2621 0.7902 0.9494
O5 0.3525 0.0386 0.2500
O6 0.3525 0.4614 0.7500
O7 0.6475 0.5386 0.2500
O8 0.6475 0.9614 0.7500
O9 0.7379 0.2098 0.0506
O10 0.7379 0.2902 0.5506
O11 0.8577 0.7030 0.0555
O12 0.8577 0.7970 0.5555